Tb4Pr2DyMg: simulated X-ray powder pattern (Cu Kα, 1.54184 Å), based on a structure optimized by DFT (GGA-PBE).

Crystal structure
Cell: 4.997 5.012 10.207 Å, 90.00 90.00 90.00°
Space group Pmmm (No. 47)
Unique sites:
Tb  0.000  0.000  0.249 [2 per cell]
Tb  0.500  0.500  0.249 [2 per cell]
Pr  0.000  0.500  0.000 [1 per cell]
Pr  0.500  0.000  0.500 [1 per cell]
Dy  0.000  0.500  0.500 [1 per cell]
Mg  0.500  0.000  0.000 [1 per cell]

Peak list (6 most intense, 2θ from 10° to 90°, low angle first)
(1 1 2), 30.7°, I = 1000
(0 0 4), 35.2°, I = 175
(0 2 0), 35.8°, I = 166
(2 0 0), 35.9°, I = 165
(2 0 4), 51.1°, I = 242
(1 1 6), 60.4°, I = 147


TaNb2Os: simulated X-ray powder pattern (Cu Kα, 1.54184 Å), based on a structure optimized by DFT (GGA-PBE).

Crystal structure
Cell: 4.578 4.578 6.462 Å, 90.00 90.00 90.00°
Space group I-4m2 (No. 119)
Unique sites:
Ta  0.000  0.000  0.000 [2 per cell]
Nb  0.000  0.000  0.500 [2 per cell]
Nb  0.000  0.500  0.750 [2 per cell]
Os  0.000  0.500  0.250 [2 per cell]

Peak list (6 most intense, 2θ from 10° to 90°, low angle first)
(1 0 1), 23.8°, I = 114
(2 0 0), 39.4°, I = 1000
(2 1 1), 46.6°, I = 63
(2 2 0), 56.9°, I = 114
(3 1 2), 71.4°, I = 346
(4 0 0), 84.8°, I = 111


Pm3Pr2Se6: simulated X-ray powder pattern (Cu Kα, 1.54184 Å), based on a structure optimized by DFT (GGA-PBE).

Crystal structure
Cell: 7.305 12.602 7.292 Å, 90.00 109.43 90.00°
Space group C2/m (No. 12)
Unique sites:
Pm  0.000  0.000  0.000 [2 per cell]
Pm  0.000  0.335  0.000 [4 per cell]
Pr  0.000  0.165  0.500 [4 per cell]
Se  0.244  0.500  0.251 [4 per cell]
Se  0.249  0.335  0.753 [8 per cell]

Peak list (6 most intense, 2θ from 10° to 90°, low angle first)
(1 3 1), 30.0°, I = 1000
(2 0 2), 42.9°, I = 621
(0 6 0), 43.1°, I = 123
(0 0 4), 53.3°, I = 196
(2 6 2), 62.4°, I = 122
(3 3 3), 70.7°, I = 223